Record 1
Starting from a cell relaxed with PBE, the XRD peak list of LiMoS3 was calculated for Cu Ka.

Structural model:
```
data_LiMoS3
_cell_length_a 8.050
_cell_length_b 6.120
_cell_length_c 9.318
_cell_angle_alpha 90.00
_cell_angle_beta 117.67
_cell_angle_gamma 90.00
_symmetry_space_group_name_H-M 'P 1 21/c 1'
_symmetry_Int_Tables_number 14
loop_
_symmetry_equiv_pos_as_xyz
'x,y,z'
'-x,-y,-z'
'-x,y+1/2,-z+1/2'
'x,-y+1/2,z+1/2'
loop_
_atom_site_label
_atom_site_type_symbol
_atom_site_fract_x
_atom_site_fract_y
_atom_site_fract_z
Li1 Li 0.226 0.212 0.093
Mo1 Mo 0.416 0.705 0.514
S1 S 0.120 0.663 0.459
S2 S 0.303 0.076 0.388
S3 S 0.416 0.562 0.285
```

Principal peaks in the range 10° ≤ 2θ ≤ 90°, low angle first:
two_theta, d [Å], I_rel, (hkl)
12.42, 7.130, 100, 1 0 0
19.16, 4.633, 42, 1 0 -2
21.54, 4.126, 30, 0 0 2
24.13, 3.688, 27, 1 1 -2
35.57, 2.524, 10, 1 2 1
36.56, 2.458, 18, 0 2 2
36.83, 2.440, 11, 3 1 -2
40.73, 2.215, 20, 3 1 0
42.07, 2.148, 10, 1 2 2
42.21, 2.141, 16, 1 1 -4

---

Record 2
Starting from a cell relaxed with PBE, the XRD peak list of Li7Mo12S16 was calculated for Cu Ka.

Structural model:
```
data_Li7Mo12S16
_cell_length_a 6.682
_cell_length_b 6.695
_cell_length_c 13.408
_cell_angle_alpha 95.10
_cell_angle_beta 94.05
_cell_angle_gamma 95.00
_symmetry_space_group_name_H-M 'P 1'
_symmetry_Int_Tables_number 1
loop_
_symmetry_equiv_pos_as_xyz
'x,y,z'
loop_
_atom_site_label
_atom_site_type_symbol
_atom_site_fract_x
_atom_site_fract_y
_atom_site_fract_z
Li1 Li 0.000 0.000 0.000
Li2 Li 0.000 0.403 0.189
Li3 Li 0.071 0.483 0.920
Li4 Li 0.415 0.348 0.491
Li5 Li 0.582 0.402 0.976
Li6 Li 0.942 0.525 0.453
Li7 Li 0.992 0.403 0.679
Mo1 Mo 0.255 0.800 0.755
Mo2 Mo 0.256 0.795 0.256
Mo3 Mo 0.433 0.930 0.597
Mo4 Mo 0.436 0.928 0.099
Mo5 Mo 0.476 0.154 0.776
Mo6 Mo 0.478 0.153 0.278
Mo7 Mo 0.567 0.619 0.687
Mo8 Mo 0.570 0.616 0.189
Mo9 Mo 0.609 0.842 0.866
Mo10 Mo 0.611 0.843 0.368
Mo11 Mo 0.790 0.976 0.708
Mo12 Mo 0.791 0.974 0.211
S1 S 0.156 0.094 0.172
S2 S 0.157 0.095 0.670
S3 S 0.235 0.600 0.588
S4 S 0.242 0.594 0.089
S5 S 0.307 0.005 0.417
S6 S 0.311 0.013 0.917
S7 S 0.393 0.518 0.837
S8 S 0.399 0.518 0.339
S9 S 0.647 0.255 0.625
S10 S 0.650 0.252 0.128
S11 S 0.737 0.757 0.046
S12 S 0.738 0.763 0.549
S13 S 0.805 0.174 0.375
S14 S 0.810 0.179 0.875
S15 S 0.889 0.675 0.794
S16 S 0.892 0.676 0.295
```

Principal peaks in the range 10° ≤ 2θ ≤ 90°, low angle first:
two_theta, d [Å], I_rel, (hkl)
13.33, 6.644, 100, 1 0 0
32.61, 2.746, 11, -1 1 4
35.45, 2.532, 7, 2 1 2
38.79, 2.321, 6, 2 -2 2
39.04, 2.307, 6, 1 2 -4
39.23, 2.296, 7, -2 1 4
44.07, 2.055, 9, 2 2 2
44.57, 2.033, 8, 1 -1 6
44.97, 2.016, 12, -1 3 2
45.09, 2.011, 7, 3 1 -2

---

Record 3
Starting from a cell relaxed with PBE, the XRD peak list of Li3Mo6S8 was calculated for Cu Ka.

Structural model:
```
data_Li3Mo6S8
_cell_length_a 6.677
_cell_length_b 6.695
_cell_length_c 13.332
_cell_angle_alpha 93.80
_cell_angle_beta 94.72
_cell_angle_gamma 95.36
_symmetry_space_group_name_H-M 'P 1'
_symmetry_Int_Tables_number 1
loop_
_symmetry_equiv_pos_as_xyz
'x,y,z'
loop_
_atom_site_label
_atom_site_type_symbol
_atom_site_fract_x
_atom_site_fract_y
_atom_site_fract_z
Li1 Li 0.000 0.000 0.000
Li2 Li 0.026 0.415 0.274
Li3 Li 0.159 0.932 0.250
Li4 Li 0.402 0.952 0.795
Li5 Li 0.929 0.126 0.757
Li6 Li 0.974 0.012 0.486
Mo1 Mo 0.241 0.406 0.557
Mo2 Mo 0.252 0.399 0.057
Mo3 Mo 0.422 0.543 0.400
Mo4 Mo 0.430 0.534 0.899
Mo5 Mo 0.463 0.766 0.578
Mo6 Mo 0.479 0.759 0.077
Mo7 Mo 0.553 0.225 0.489
Mo8 Mo 0.564 0.220 0.990
Mo9 Mo 0.599 0.450 0.668
Mo10 Mo 0.609 0.445 0.167
Mo11 Mo 0.775 0.588 0.511
Mo12 Mo 0.790 0.577 0.009
S1 S 0.142 0.707 0.470
S2 S 0.156 0.698 0.971
S3 S 0.222 0.208 0.390
S4 S 0.229 0.202 0.892
S5 S 0.297 0.611 0.718
S6 S 0.309 0.614 0.217
S7 S 0.384 0.126 0.641
S8 S 0.394 0.120 0.142
S9 S 0.629 0.867 0.426
S10 S 0.649 0.861 0.926
S11 S 0.718 0.373 0.352
S12 S 0.732 0.367 0.850
S13 S 0.792 0.784 0.676
S14 S 0.813 0.775 0.173
S15 S 0.877 0.284 0.596
S16 S 0.888 0.278 0.098
```

Principal peaks in the range 10° ≤ 2θ ≤ 90°, low angle first:
two_theta, d [Å], I_rel, (hkl)
13.35, 6.631, 100, 0 0 2
32.37, 2.766, 5, -1 1 4
32.82, 2.728, 5, 1 2 -2
35.45, 2.532, 7, 1 2 2
38.89, 2.316, 6, -2 1 4
39.04, 2.307, 6, 2 -2 2
39.47, 2.283, 7, 1 2 -4
44.10, 2.053, 9, 2 1 4
44.55, 2.034, 9, -1 3 2
45.19, 2.007, 17, 1 -1 6

---

Record 4
Starting from a cell relaxed with PBE, the XRD peak list of LiMo6Se2S6 was calculated for Cu Ka.

Structural model:
```
data_LiMo6Se2S6
_cell_length_a 9.3583
_cell_length_b 9.3583
_cell_length_c 11.1562
_cell_angle_alpha 90.00
_cell_angle_beta 90.00
_cell_angle_gamma 120.00
_symmetry_space_group_name_H-M 'R -3'
_symmetry_Int_Tables_number 148
_symmetry_space_group_name_Hall '-R 3'
loop_
_atom_site_label
_atom_site_type_symbol
_atom_site_fract_x
_atom_site_fract_y
_atom_site_fract_z
Li1 Li 0.0000 0.0000 0.0000
Mo1 Mo 0.0151 0.8386 0.3946
Se1 Se 0.0000 0.0000 0.2166
S1 S 0.0182 0.6364 0.2504
```

Principal peaks in the range 10° ≤ 2θ ≤ 90°, low angle first:
two_theta, d [Å], I_rel, (hkl)
13.50, 6.557, 100, 1 0 1
18.97, 4.679, 13, 1 1 0
30.26, 2.954, 18, 2 1 1
33.37, 2.685, 40, 1 2 2
40.96, 2.204, 22, 1 3 1
42.00, 2.151, 20, 0 1 5
43.40, 2.085, 13, 3 1 2
43.90, 2.062, 15, 3 -1 4
45.82, 1.980, 40, 4 -2 3
51.83, 1.764, 16, 2 3 2